Starting from a crystal structure in the Materials Project, relaxed with GGA+U, the X-ray powder pattern of Sr3Ca5FeCo7O24 was simulated for Cu Kα (λ = 1.5418 Å).
Neutral-atom scattering factors, no anomalous dispersion.

abc: 10.772 10.775 7.666
angles: 90.00 90.01 90.00
Space group Cm (No. 8)
Inequivalent atoms, fractional coordinates:
Sr  0.000  0.000  0.000
Sr  0.249  0.250  0.000
Ca  0.249  0.251  0.495
Ca  0.499  0.000  0.001
Ca  0.499  0.000  0.494
Ca  0.499  0.500  0.495
Fe  0.249  0.500  0.745
Co  0.248  0.500  0.251
Co  0.250  0.000  0.251
Co  0.250  0.000  0.746
Co  0.499  0.249  0.250
Co  0.499  0.249  0.745
O  0.000  0.254  0.999
O  0.121  0.375  0.742
O  0.123  0.377  0.252
O  0.124  0.127  0.742
O  0.126  0.125  0.255
O  0.247  0.500  0.002
O  0.248  0.500  0.492
O  0.251  0.000  0.497
O  0.253  0.000  0.000
O  0.374  0.375  0.255
O  0.375  0.123  0.253
O  0.376  0.126  0.744
O  0.376  0.373  0.741
O  0.499  0.249  0.496

Top 10 peaks for 2θ = 10–80°, by angle:
2θ = 33.2°, rel. 100
2θ = 33.3°, rel. 50
2θ = 41.0°, rel. 10
2θ = 47.4°, rel. 22
2θ = 47.8°, rel. 43
2θ = 59.2°, rel. 18
2θ = 59.4°, rel. 36
2θ = 69.6°, rel. 24
2θ = 69.8°, rel. 12
2θ = 79.6°, rel. 15



Starting from a crystal structure in the Materials Project, relaxed with GGA+U, the X-ray powder pattern of Sr5Ca3Fe7CoO24 was simulated for Cu Kα (λ = 1.5418 Å).
Neutral-atom scattering factors, no anomalous dispersion.

abc: 10.961 10.971 7.760
angles: 90.00 90.04 90.00
Space group Cm (No. 8)
Inequivalent atoms, fractional coordinates:
Sr  0.000  0.000  0.000
Sr  0.000  0.000  0.499
Sr  0.249  0.249  0.000
Sr  0.498  0.000  0.000
Ca  0.249  0.249  0.499
Ca  0.498  0.000  0.499
Fe  0.248  0.500  0.252
Fe  0.248  0.500  0.747
Fe  0.250  0.000  0.747
Fe  0.499  0.249  0.251
Fe  0.499  0.249  0.747
Co  0.250  0.000  0.252
O  0.123  0.375  0.256
O  0.124  0.376  0.743
O  0.126  0.126  0.745
O  0.130  0.123  0.254
O  0.246  0.500  0.500
O  0.248  0.500  0.999
O  0.250  0.000  0.005
O  0.252  0.000  0.494
O  0.370  0.121  0.255
O  0.372  0.374  0.745
O  0.373  0.373  0.254
O  0.374  0.125  0.743
O  0.499  0.247  0.499
O  0.499  0.249  0.000

Top 10 peaks for 2θ = 10–80°, by angle:
2θ = 11.4°, rel. 4
2θ = 25.7°, rel. 4
2θ = 32.7°, rel. 100
2θ = 34.7°, rel. 2
2θ = 40.3°, rel. 10
2θ = 46.9°, rel. 42
2θ = 58.3°, rel. 37
2θ = 68.4°, rel. 23
2θ = 77.9°, rel. 13
2θ = 77.9°, rel. 3



Starting from a crystal structure in the Materials Project, relaxed with GGA+U, the X-ray powder pattern of Sr6Ca2Fe5Co3O24 was simulated for Cu Kα (λ = 1.5418 Å).
Neutral-atom scattering factors, no anomalous dispersion.

abc: 7.730 7.749 7.777
angles: 90.00 90.06 90.00
Space group P2 (No. 3)
Inequivalent atoms, fractional coordinates:
Sr  0.246  0.000  0.248
Sr  0.246  0.000  0.753
Sr  0.246  0.503  0.752
Ca  0.244  0.503  0.247
Fe  0.000  0.252  0.500
Fe  0.000  0.750  0.500
Fe  0.500  0.253  0.500
Fe  0.500  0.254  0.000
Fe  0.500  0.750  0.500
Co  0.000  0.253  0.000
Co  0.000  0.750  0.000
Co  0.500  0.750  0.000
O  0.000  0.001  0.500
O  0.000  0.002  0.000
O  0.000  0.501  0.000
O  0.000  0.502  0.500
O  0.002  0.256  0.243
O  0.002  0.747  0.250
O  0.237  0.748  0.002
O  0.247  0.256  0.002
O  0.248  0.748  0.498
O  0.250  0.255  0.498
O  0.497  0.748  0.248
O  0.498  0.255  0.248
O  0.500  0.002  0.500
O  0.500  0.501  0.500
O  0.500  0.516  0.000
O  0.500  0.987  0.000

Top 10 peaks for 2θ = 10–80°, by angle:
2θ = 32.6°, rel. 100
2θ = 32.7°, rel. 50
2θ = 40.3°, rel. 16
2θ = 46.7°, rel. 20
2θ = 46.9°, rel. 20
2θ = 47.0°, rel. 20
2θ = 58.2°, rel. 19
2θ = 58.3°, rel. 28
2θ = 68.4°, rel. 17
2θ = 68.6°, rel. 17